This entry pairs a crystal structure of KTi2Fe2O7 with its theoretical X-ray diffraction stick pattern. Radiation: Cu Kα X-rays. Structure: a GGA+U-relaxed structure.
Peak positions follow from Bragg's law for the DFT cell and can differ from measured ones.

The 10 most intense peaks (10 to 90 degrees two-theta), in order of falling intensity:
- 32.39 deg, intensity 100
- 10.55 deg, intensity 89
- 41.93 deg, intensity 53
- 43.14 deg, intensity 48
- 45.46 deg, intensity 48
- 63.56 deg, intensity 25
- 63.97 deg, intensity 25
- 26.11 deg, intensity 24
- 64.47 deg, intensity 24
- 61.73 deg, intensity 24

Atomic structure:
abc: 8.886 8.886 8.886
angles: 154.05 38.59 151.94
Sites, in units of the cell vectors:
1 K 0.000 0.000 0.000
2 Ti 0.375 0.986 0.389
3 Ti 0.597 0.986 0.611
4 Fe 0.298 0.549 0.749
5 Fe 0.799 0.549 0.251
6 O 0.199 0.574 0.625
7 O 0.324 0.058 0.266
8 O 0.421 0.547 0.873
9 O 0.534 0.034 0.500
10 O 0.674 0.547 0.127
11 O 0.792 0.058 0.734
12 O 0.948 0.574 0.375